(1)
Starting from a structure optimized by DFT (GGA-PBE), the XRD peak list of BaSmHf4O12 was calculated for Cu Kα (weighted mean of Kα1 and Kα2).

Largest 6 diffraction maxima, in order of rising 2θ, 15° ≤ 2θ ≤ 90°:
18.73 deg, d = 4.738 Å, rel. 34
21.71 deg, d = 4.093 Å, rel. 35
30.78 deg, d = 2.905 Å, rel. 100
30.89 deg, d = 2.894 Å, rel. 53
54.82 deg, d = 1.675 Å, rel. 21
54.93 deg, d = 1.671 Å, rel. 21

Unit cell a=8.1712 b=5.8148 c=5.8148 alpha=89.70 beta=90.00 gamma=90.00
Element x y z (fractional)
Ba (0.0000, 0.0000, 0.0000)
Sm (0.5000, 0.4495, 0.4495)
Hf (0.2539, 0.4874, 0.9684)
Hf (0.2539, 0.9684, 0.4874)
Hf (0.7461, 0.4874, 0.9684)
Hf (0.7461, 0.9684, 0.4874)
O (0.0000, 0.5034, 0.9626)
O (0.0000, 0.9626, 0.5034)
O (0.2449, 0.2508, 0.2508)
O (0.2561, 0.2096, 0.7493)
O (0.2561, 0.7493, 0.2096)
O (0.3081, 0.6847, 0.6847)
O (0.5000, 0.0508, 0.4634)
O (0.5000, 0.4634, 0.0508)
O (0.6919, 0.6847, 0.6847)
O (0.7439, 0.2096, 0.7493)
O (0.7439, 0.7493, 0.2096)
O (0.7551, 0.2508, 0.2508)

---

(2)
Starting from a structure optimized by DFT (GGA-PBE), the XRD peak list of SnGeN2 was calculated for Cu Kα (weighted mean of Kα1 and Kα2).

Largest 6 diffraction maxima, in order of rising 2θ, 15° ≤ 2θ ≤ 90°:
31.37 deg, d = 2.852 Å, rel. 31
32.80 deg, d = 2.730 Å, rel. 100
34.84 deg, d = 2.575 Å, rel. 18
47.58 deg, d = 1.911 Å, rel. 18
56.76 deg, d = 1.622 Å, rel. 21
61.19 deg, d = 1.515 Å, rel. 16

Unit cell a=5.4760 b=5.4760 c=5.4760 alpha=117.23 beta=89.11 gamma=123.90
Element x y z (fractional)
Sn (0.1185, 0.2500, 0.3685)
Sn (0.8815, 0.7500, 0.6315)
Ge (0.4212, 0.8032, 0.1180)
Ge (0.6852, 0.3032, 0.8820)
N (0.0502, 0.4460, 0.1042)
N (0.3418, 0.9460, 0.8958)
N (0.7046, 0.2046, 0.5000)
N (0.7046, 0.7046, 0.0000)

---

(3)
Starting from a structure optimized by DFT (GGA-PBE), the XRD peak list of Cd3Ga2Te6 was calculated for Cu Kα (weighted mean of Kα1 and Kα2).

Largest 6 diffraction maxima, in order of rising 2θ, 15° ≤ 2θ ≤ 90°:
24.34 deg, d = 3.657 Å, rel. 100
39.89 deg, d = 2.260 Å, rel. 27
40.12 deg, d = 2.248 Å, rel. 23
40.80 deg, d = 2.211 Å, rel. 21
46.67 deg, d = 1.946 Å, rel. 17
47.88 deg, d = 1.900 Å, rel. 14

Unit cell a=7.8690 b=7.8690 c=8.9903 alpha=108.88 beta=108.88 gamma=47.11
Element x y z (fractional)
Cd (0.0000, 0.0000, 0.0000)
Cd (0.3071, 0.3775, 0.1852)
Cd (0.6225, 0.6929, 0.8148)
Ga (0.2878, 0.3742, 0.6572)
Ga (0.6258, 0.7122, 0.3428)
Te (0.1917, 0.7806, 0.7136)
Te (0.2194, 0.8083, 0.2864)
Te (0.5342, 0.1297, 0.9061)
Te (0.5820, 0.0992, 0.4387)
Te (0.8703, 0.4658, 0.0939)
Te (0.9008, 0.4180, 0.5613)

---

(4)
Starting from a structure optimized by DFT (GGA-PBE), the XRD peak list of Sr2ZnReO6 was calculated for Cu Kα (weighted mean of Kα1 and Kα2).

Largest 6 diffraction maxima, in order of rising 2θ, 15° ≤ 2θ ≤ 90°:
19.18 deg, d = 4.627 Å, rel. 20
31.58 deg, d = 2.833 Å, rel. 100
45.26 deg, d = 2.004 Å, rel. 30
56.23 deg, d = 1.636 Å, rel. 41
65.93 deg, d = 1.417 Å, rel. 15
74.95 deg, d = 1.267 Å, rel. 17

Unit cell a=5.6720 b=5.6642 c=9.8133 alpha=90.00 beta=125.28 gamma=90.00
Element x y z (fractional)
Sr (0.2473, 0.0174, 0.2508)
Sr (0.2473, 0.4826, 0.7508)
Sr (0.7527, 0.5174, 0.2492)
Sr (0.7527, 0.9826, 0.7492)
Zn (0.0000, 0.0000, 0.5000)
Zn (0.0000, 0.5000, 0.0000)
Re (0.5000, 0.0000, 0.0000)
Re (0.5000, 0.5000, 0.5000)
O (0.2071, 0.2161, 0.9709)
O (0.2071, 0.2839, 0.4709)
O (0.2599, 0.7356, 0.9745)
O (0.2599, 0.7644, 0.4745)
O (0.3137, 0.0019, 0.7600)
O (0.3137, 0.4981, 0.2600)
O (0.6863, 0.5019, 0.7400)
O (0.6863, 0.9981, 0.2400)
O (0.7401, 0.2356, 0.5255)
O (0.7401, 0.2644, 0.0255)
O (0.7929, 0.7161, 0.5291)
O (0.7929, 0.7839, 0.0291)

---

(5)
Starting from a structure optimized by DFT (GGA-PBE), the XRD peak list of ZnP2 was calculated for Cu Kα (weighted mean of Kα1 and Kα2).

Largest 6 diffraction maxima, in order of rising 2θ, 15° ≤ 2θ ≤ 90°:
23.81 deg, d = 3.737 Å, rel. 38
26.40 deg, d = 3.376 Å, rel. 56
28.05 deg, d = 3.181 Å, rel. 100
31.95 deg, d = 2.801 Å, rel. 28
43.03 deg, d = 2.102 Å, rel. 30
50.46 deg, d = 1.809 Å, rel. 43

Unit cell a=8.8969 b=7.3267 c=7.6118 alpha=90.00 beta=102.36 gamma=90.00
Element x y z (fractional)
Zn (0.0807, 0.2469, 0.3940)
Zn (0.0807, 0.2531, 0.8940)
Zn (0.3925, 0.5961, 0.2245)
Zn (0.3925, 0.9039, 0.7245)
Zn (0.6075, 0.0961, 0.2755)
Zn (0.6075, 0.4039, 0.7755)
Zn (0.9193, 0.7469, 0.1060)
Zn (0.9193, 0.7531, 0.6060)
P (0.0780, 0.7440, 0.8954)
P (0.0780, 0.7560, 0.3954)
P (0.2351, 0.5195, 0.4409)
P (0.2351, 0.9805, 0.9409)
P (0.2420, 0.5161, 0.9276)
P (0.2420, 0.9839, 0.4276)
P (0.3746, 0.5731, 0.7164)
P (0.3746, 0.9269, 0.2164)
P (0.6254, 0.0731, 0.7836)
P (0.6254, 0.4269, 0.2836)
P (0.7580, 0.0161, 0.5724)
P (0.7580, 0.4839, 0.0724)
P (0.7649, 0.0195, 0.0591)
P (0.7649, 0.4805, 0.5591)
P (0.9220, 0.2440, 0.6046)
P (0.9220, 0.2560, 0.1046)

---

(6)
Starting from a structure optimized by DFT (GGA-PBE), the XRD peak list of Te2W2SeS was calculated for Cu Kα (weighted mean of Kα1 and Kα2).

Largest 6 diffraction maxima, in order of rising 2θ, 15° ≤ 2θ ≤ 90°:
30.40 deg, d = 2.941 Å, rel. 45
35.69 deg, d = 2.516 Å, rel. 100
38.39 deg, d = 2.345 Å, rel. 19
43.16 deg, d = 2.096 Å, rel. 55
44.92 deg, d = 2.018 Å, rel. 18
53.99 deg, d = 1.698 Å, rel. 32

Unit cell a=3.3972 b=3.3972 c=38.8225 alpha=90.00 beta=90.00 gamma=120.00
Element x y z (fractional)
Te (0.0000, 0.0000, 0.0000)
Te (0.0000, 0.0000, 0.0970)
Te (0.3333, 0.6667, 0.4364)
Te (0.3333, 0.6667, 0.5334)
W (0.0000, 0.0000, 0.4849)
W (0.0000, 0.0000, 0.8606)
W (0.3333, 0.6667, 0.0485)
W (0.3333, 0.6667, 0.6727)
Se (0.3333, 0.6667, 0.8180)
Se (0.3333, 0.6667, 0.9032)
S (0.0000, 0.0000, 0.6339)
S (0.0000, 0.0000, 0.7116)

---

(7)
Starting from a structure optimized by DFT (GGA-PBE), the XRD peak list of Na3GePCO7 was calculated for Cu Kα (weighted mean of Kα1 and Kα2).

Largest 6 diffraction maxima, in order of rising 2θ, 15° ≤ 2θ ≤ 90°:
25.20 deg, d = 3.534 Å, rel. 100
31.88 deg, d = 2.807 Å, rel. 49
32.31 deg, d = 2.770 Å, rel. 48
34.83 deg, d = 2.576 Å, rel. 63
46.99 deg, d = 1.934 Å, rel. 54
51.74 deg, d = 1.767 Å, rel. 45

Unit cell a=5.1531 b=7.0680 c=9.2440 alpha=90.00 beta=91.15 gamma=90.00
Element x y z (fractional)
Na (0.2335, 0.2500, 0.4160)
Na (0.2502, 0.5014, 0.7568)
Na (0.2502, 0.9986, 0.7568)
Na (0.7498, 0.0014, 0.2432)
Na (0.7498, 0.4986, 0.2432)
Na (0.7665, 0.7500, 0.5840)
Ge (0.2212, 0.7500, 0.1367)
Ge (0.7788, 0.2500, 0.8633)
P (0.2920, 0.2500, 0.0962)
P (0.7080, 0.7500, 0.9038)
C (0.2700, 0.7500, 0.4450)
C (0.7300, 0.2500, 0.5550)
O (0.0459, 0.7500, 0.3736)
O (0.1852, 0.2500, 0.9350)
O (0.1971, 0.0738, 0.1814)
O (0.1971, 0.4262, 0.1814)
O (0.2728, 0.7500, 0.5846)
O (0.4058, 0.7500, 0.9074)
O (0.4855, 0.7500, 0.3745)
O (0.5145, 0.2500, 0.6255)
O (0.5942, 0.2500, 0.0926)
O (0.7272, 0.2500, 0.4154)
O (0.8029, 0.5738, 0.8186)
O (0.8029, 0.9262, 0.8186)
O (0.8148, 0.7500, 0.0650)
O (0.9541, 0.2500, 0.6264)